No. 1
Starting from a DFT-relaxed cell (PBE, Alexandria), the X-ray diffraction stick pattern of SnBi was calculated for CuKα.
Peak positions follow from Bragg's law for the DFT cell and can differ from measured ones.

Principal peaks in the range 2θ = 10–90°, low angle first:
2theta  d [Å]  intensity
30.73  2.909  89.5
31.62  2.829  100.0
31.72  2.821  76.5
31.87  2.808  32.3
38.99  2.310  56.5
42.29  2.137  25.9
44.85  2.021  39.4
60.85  1.522  33.1
60.96  1.520  28.9
61.14  1.516  22.0
65.52  1.425  25.2
87.84  1.111  22.3

Crystal structure
a = 6.4944 Å, b = 6.4944 Å, c = 6.5490 Å
α = 90.00°, β = 90.00°, γ = 60.31°
Sites, in units of the cell vectors:
Sn1 0.1679 0.8321 0.8305
Sn2 0.3321 0.6679 0.3305
Sn3 0.6679 0.3321 0.6695
Sn4 0.8321 0.1679 0.1695
Bi1 0.2078 0.2078 0.5000
Bi2 0.2922 0.2922 0.0000
Bi3 0.7078 0.7078 0.0000
Bi4 0.7922 0.7922 0.5000

***

No. 2
Starting from a DFT-relaxed cell (PBE, Alexandria), the X-ray diffraction stick pattern of Er6BiSb3Pb2 was calculated for CuKα.
Peak positions follow from Bragg's law for the DFT cell and can differ from measured ones.

Principal peaks in the range 2θ = 10–90°, low angle first:
2theta  d [Å]  intensity
28.79  3.101  100.0
40.25  2.241  40.2
42.08  2.147  36.4
48.66  1.871  7.6
51.78  1.765  19.7
59.64  1.550  12.7
66.25  1.411  17.9
68.79  1.365  5.7
68.88  1.363  11.0
71.90  1.313  6.8
75.59  1.258  4.3
75.64  1.257  4.3

Crystal structure
a = 9.9556 Å, b = 9.9556 Å, c = 8.9718 Å
α = 106.49°, β = 106.49°, γ = 24.94°
Sites, in units of the cell vectors:
Er1 0.0002 0.0002 0.2448
Er2 0.9998 0.9998 0.7552
Er3 0.3303 0.3303 0.4159
Er4 0.3374 0.3374 0.9033
Er5 0.6626 0.6626 0.0967
Er6 0.6697 0.6697 0.5841
Bi1 0.5000 0.5000 0.5000
Sb1 0.1650 0.1650 0.3393
Sb2 0.5000 0.5000 0.0000
Sb3 0.8350 0.8350 0.6607
Pb1 0.1699 0.1699 0.8433
Pb2 0.8301 0.8301 0.1567

***

No. 3
Starting from a DFT-relaxed cell (PBE, Alexandria), the X-ray diffraction stick pattern of Ho2Sc4S9 was calculated for CuKα.
Peak positions follow from Bragg's law for the DFT cell and can differ from measured ones.

Principal peaks in the range 2θ = 10–90°, low angle first:
2theta  d [Å]  intensity
15.49  5.721  78.5
18.40  4.822  51.0
25.25  3.527  100.0
26.99  3.303  60.7
30.94  2.891  42.7
31.27  2.861  23.4
37.30  2.411  50.8
40.73  2.215  95.2
46.64  1.947  45.9
47.69  1.907  55.8
53.60  1.710  23.6
64.47  1.445  21.8

Crystal structure
a = 6.6064 Å, b = 6.6064 Å, c = 17.9178 Å
α = 90.00°, β = 90.00°, γ = 120.00°
Sites, in units of the cell vectors:
Ho1 0.0000 0.0000 0.1490
Ho2 0.0000 0.0000 0.3510
Ho3 0.0000 0.0000 0.6490
Ho4 0.0000 0.0000 0.8510
Sc1 0.3333 0.6667 0.0115
Sc2 0.3333 0.6667 0.3193
Sc3 0.3333 0.6667 0.5115
Sc4 0.3333 0.6667 0.8193
Sc5 0.6667 0.3333 0.1807
Sc6 0.6667 0.3333 0.4885
Sc7 0.6667 0.3333 0.6807
Sc8 0.6667 0.3333 0.9885
S1 0.0000 0.3172 0.2500
S2 0.0000 0.6828 0.7500
S3 0.0234 0.3755 0.9169
S4 0.0234 0.6479 0.4169
S5 0.3172 0.0000 0.2500
S6 0.3172 0.3172 0.7500
S7 0.3521 0.3755 0.4169
S8 0.3521 0.9766 0.9169
S9 0.3755 0.0234 0.5831
S10 0.3755 0.3521 0.0831
S11 0.6245 0.6479 0.9169
S12 0.6245 0.9766 0.4169
S13 0.6479 0.0234 0.0831
S14 0.6479 0.6245 0.5831
S15 0.6828 0.0000 0.7500
S16 0.6828 0.6828 0.2500
S17 0.9766 0.3521 0.5831
S18 0.9766 0.6245 0.0831

***

No. 4
Starting from a DFT-relaxed cell (PBE, Alexandria), the X-ray diffraction stick pattern of PmSmZnIn was calculated for CuKα.
Peak positions follow from Bragg's law for the DFT cell and can differ from measured ones.

Principal peaks in the range 2θ = 10–90°, low angle first:
2theta  d [Å]  intensity
23.95  3.716  6.1
33.65  2.663  100.0
34.13  2.627  50.0
47.61  1.910  8.3
49.03  1.858  17.8
59.87  1.545  16.6
60.79  1.524  35.6
70.75  1.332  10.0
71.87  1.314  5.6
79.59  1.204  5.9
81.74  1.178  7.6
82.01  1.175  7.8

Crystal structure
a = 3.7156 Å, b = 3.7156 Å, c = 7.6393 Å
α = 90.00°, β = 90.00°, γ = 90.00°
Sites, in units of the cell vectors:
Pm1 0.0000 0.0000 0.0000
Sm1 0.0000 0.0000 0.4609
Zn1 0.5000 0.5000 0.2333
In1 0.5000 0.5000 0.7287

***

No. 5
Starting from a DFT-relaxed cell (PBE, Alexandria), the X-ray diffraction stick pattern of BaMgAsSe2 was calculated for CuKα.
Peak positions follow from Bragg's law for the DFT cell and can differ from measured ones.

Principal peaks in the range 2θ = 10–90°, low angle first:
2theta  d [Å]  intensity
24.55  3.627  8.9
29.85  2.993  100.0
33.83  2.649  47.4
36.11  2.487  19.8
48.60  1.873  16.7
50.32  1.813  30.1
58.09  1.588  29.6
61.12  1.516  12.7
62.02  1.496  16.0
81.18  1.185  7.5
81.70  1.179  11.3
82.50  1.169  7.2

Crystal structure
a = 5.2988 Å, b = 5.2988 Å, c = 4.9744 Å
α = 90.00°, β = 90.00°, γ = 90.00°
Sites, in units of the cell vectors:
Ba1 0.0000 0.0000 0.0000
Mg1 0.5000 0.5000 0.5000
As1 0.5000 0.5000 0.0000
Se1 0.0000 0.5000 0.5000
Se2 0.5000 0.0000 0.5000

***

No. 6
Starting from a DFT-relaxed cell (PBE, Alexandria), the X-ray diffraction stick pattern of CsInO was calculated for CuKα.
Peak positions follow from Bragg's law for the DFT cell and can differ from measured ones.

Principal peaks in the range 2θ = 10–90°, low angle first:
2theta  d [Å]  intensity
24.29  3.664  20.0
26.35  3.383  78.1
26.94  3.309  100.0
28.24  3.160  49.5
30.55  2.926  61.9
33.57  2.670  26.1
35.14  2.554  25.7
42.09  2.147  33.4
46.02  1.972  20.7
52.16  1.754  22.5
54.12  1.695  35.2
56.43  1.631  20.1

Crystal structure
a = 7.3859 Å, b = 7.3859 Å, c = 8.7079 Å
α = 90.00°, β = 90.00°, γ = 133.33°
Sites, in units of the cell vectors:
Cs1 0.1712 0.8288 0.9122
Cs2 0.3288 0.6712 0.4122
Cs3 0.6712 0.3288 0.5878
Cs4 0.8288 0.1712 0.0878
In1 0.0450 0.9550 0.3323
In2 0.4550 0.5450 0.8323
In3 0.5450 0.4550 0.1677
In4 0.9550 0.0450 0.6677
O1 0.1026 0.8974 0.5648
O2 0.3974 0.6026 0.0648
O3 0.6026 0.3974 0.9352
O4 0.8974 0.1026 0.4352

***

No. 7
Starting from a DFT-relaxed cell (PBE, Alexandria), the X-ray diffraction stick pattern of Tb6Dy8In was calculated for CuKα.
Peak positions follow from Bragg's law for the DFT cell and can differ from measured ones.

Principal peaks in the range 2θ = 10–90°, low angle first:
2theta  d [Å]  intensity
30.75  2.908  41.0
31.71  2.821  100.0
31.95  2.801  64.0
33.12  2.705  47.0
33.27  2.693  19.2
35.34  2.540  21.7
37.18  2.419  22.2
40.18  2.244  10.7
54.05  1.697  29.5
54.56  1.682  13.7
55.89  1.645  17.7
61.10  1.517  20.4

Crystal structure
a = 8.4966 Å, b = 8.4966 Å, c = 8.4966 Å
α = 63.78°, β = 63.78°, γ = 63.78°
Sites, in units of the cell vectors:
Tb1 0.0490 0.6034 0.7330
Tb2 0.2670 0.9510 0.3966
Tb3 0.3966 0.2670 0.9510
Tb4 0.6034 0.7330 0.0490
Tb5 0.7330 0.0490 0.6034
Tb6 0.9510 0.3966 0.2670
Dy1 0.0762 0.0762 0.0762
Dy2 0.2157 0.6087 0.2493
Dy3 0.2493 0.2157 0.6087
Dy4 0.3913 0.7507 0.7843
Dy5 0.6087 0.2493 0.2157
Dy6 0.7507 0.7843 0.3913
Dy7 0.7843 0.3913 0.7507
Dy8 0.9238 0.9238 0.9238
In1 0.5000 0.5000 0.5000

***

No. 8
Starting from a DFT-relaxed cell (PBE, Alexandria), the X-ray diffraction stick pattern of ScSb3Pb4O13 was calculated for CuKα.
Peak positions follow from Bragg's law for the DFT cell and can differ from measured ones.

Principal peaks in the range 2θ = 10–90°, low angle first:
2theta  d [Å]  intensity
14.32  6.187  9.9
27.63  3.228  8.3
28.88  3.092  100.0
33.47  2.678  38.2
36.57  2.457  8.9
48.06  1.893  43.8
57.02  1.615  33.7
57.11  1.613  11.3
59.79  1.547  8.8
77.69  1.229  14.0
80.22  1.197  8.4
89.65  1.094  10.3

Crystal structure
a = 7.5667 Å, b = 7.5667 Å, c = 7.5667 Å
α = 60.11°, β = 60.11°, γ = 60.11°
Sites, in units of the cell vectors:
Sc1 0.0000 0.0000 0.0000
Sb1 0.0003 0.0003 0.5016
Sb2 0.0003 0.5016 0.0003
Sb3 0.5016 0.0003 0.0003
Pb1 0.0018 0.5006 0.5006
Pb2 0.4986 0.4986 0.4986
Pb3 0.5006 0.0018 0.5006
Pb4 0.5006 0.5006 0.0018
O1 0.0735 0.0735 0.6677
O2 0.0735 0.6677 0.0735
O3 0.0764 0.6817 0.6817
O4 0.3212 0.3212 0.9240
O5 0.3212 0.9240 0.3212
O6 0.3379 0.9247 0.9247
O7 0.6233 0.6233 0.6233
O8 0.6677 0.0735 0.0735
O9 0.6817 0.0764 0.6817
O10 0.6817 0.6817 0.0764
O11 0.9240 0.3212 0.3212
O12 0.9247 0.3379 0.9247
O13 0.9247 0.9247 0.3379

***

No. 9
Starting from a DFT-relaxed cell (PBE, Alexandria), the X-ray diffraction stick pattern of Rb3Sn11 was calculated for CuKα.
Peak positions follow from Bragg's law for the DFT cell and can differ from measured ones.

Principal peaks in the range 2θ = 10–90°, low angle first:
2theta  d [Å]  intensity
28.27  3.157  21.7
28.70  3.111  20.4
29.04  3.075  100.0
29.24  3.054  17.6
30.50  2.930  23.9
30.83  2.900  42.2
33.50  2.675  58.1
35.44  2.533  34.5
36.74  2.446  29.4
37.58  2.393  33.8
50.56  1.805  24.0
56.65  1.625  31.1

Crystal structure
a = 9.7681 Å, b = 9.7681 Å, c = 9.7681 Å
α = 148.21°, β = 106.20°, γ = 82.59°
Sites, in units of the cell vectors:
Rb1 0.0000 0.0000 0.0000
Rb2 0.2982 0.2982 0.0000
Rb3 0.7018 0.7018 0.0000
Sn1 0.0151 0.6529 0.3622
Sn2 0.1278 0.8522 0.2756
Sn3 0.2908 0.6529 0.6378
Sn4 0.3141 0.5000 0.8141
Sn5 0.4234 0.1478 0.2756
Sn6 0.5000 0.0000 0.5000
Sn7 0.5766 0.8522 0.7244
Sn8 0.6859 0.5000 0.1859
Sn9 0.7092 0.3471 0.3622
Sn10 0.8722 0.1478 0.7244
Sn11 0.9849 0.3471 0.6378

***

No. 10
Starting from a DFT-relaxed cell (PBE, Alexandria), the X-ray diffraction stick pattern of La12Tb5Nd was calculated for CuKα.
Peak positions follow from Bragg's law for the DFT cell and can differ from measured ones.

Principal peaks in the range 2θ = 10–90°, low angle first:
2theta  d [Å]  intensity
29.66  3.012  100.0
29.78  3.000  98.7
34.25  2.618  34.2
34.55  2.596  66.6
49.44  1.843  48.3
49.51  1.841  12.1
58.59  1.575  21.8
58.81  1.570  14.3
58.88  1.568  14.3
59.05  1.564  28.0
61.85  1.500  12.2
80.30  1.196  14.5

Crystal structure
a = 11.0391 Å, b = 11.0391 Å, c = 6.3946 Å
α = 106.56°, β = 106.56°, γ = 59.66°
Sites, in units of the cell vectors:
La1 0.0035 0.6631 0.1661
La2 0.1624 0.5037 0.6656
La3 0.1686 0.8314 0.0000
La4 0.3285 0.6715 0.5000
La5 0.3369 0.9965 0.8339
La6 0.4963 0.8376 0.3344
La7 0.5037 0.1624 0.6656
La8 0.6631 0.0035 0.1661
La9 0.6715 0.3285 0.5000
La10 0.8314 0.1686 0.0000
La11 0.8376 0.4963 0.3344
La12 0.9965 0.3369 0.8339
Tb1 0.0000 0.0000 0.5000
Tb2 0.1667 0.1667 0.3342
Tb3 0.3327 0.3327 0.1674
Tb4 0.6673 0.6673 0.8326
Tb5 0.8333 0.8333 0.6658
Nd1 0.5000 0.5000 0.0000